1.
Starting from a crystal structure in Alexandria, relaxed with GGA-PBE, the powder diffractogram of Nd4Y4Er was calculated for Cu Kα X-rays.

Largest 10 diffraction maxima, in order of rising 2θ, 2θ from 5° to 70°:
d 5.424, 2θ = 16.34°, I 3, (2 0 0); d 4.622, 2θ = 19.20°, I 4, (1 0 1); d 3.430, 2θ = 25.97°, I 2, (3 1 0); d 2.951, 2θ = 30.28°, I 100, (3 0 1); d 2.592, 2θ = 34.60°, I 2, (3 2 1); d 2.556, 2θ = 35.11°, I 50, (3 3 0); d 1.997, 2θ = 45.42°, I 1, (4 3 1); d 1.807, 2θ = 50.50°, I 36, (6 0 0); d 1.541, 2θ = 60.02°, I 42, (6 3 1); d 1.476, 2θ = 62.99°, I 12, (6 0 2)

Atomic structure:
abc: 10.8478 10.8478 5.1086
angles: 90.00 90.00 90.00
Space group I4/mmm (No. 139)
Unique sites:
1 Nd 0.0000 0.3317 0.0000 [8 per cell]
2 Y 0.1654 0.1654 0.5000 [8 per cell]
3 Er 0.0000 0.0000 0.0000 [2 per cell]

---

2.
Starting from a crystal structure in Alexandria, relaxed with GGA-PBE, the powder diffractogram of ZnPd5Au was calculated for Cu Kα X-rays.

Largest 10 diffraction maxima, in order of rising 2θ, 2θ from 5° to 70°:
d 3.520, 2θ = 25.31°, I 22, (2 0 -2); d 2.585, 2θ = 34.71°, I 40, (3 1 0); d 2.517, 2θ = 35.67°, I 25, (0 0 4); d 2.492, 2θ = 36.04°, I 28, (0 2 0); d 2.284, 2θ = 39.46°, I 31, (2 0 -4); d 2.267, 2θ = 39.76°, I 18, (4 0 0); d 2.234, 2θ = 40.37°, I 100, (3 1 2); d 2.143, 2θ = 42.16°, I 52, (1 1 4); d 2.034, 2θ = 44.55°, I 56, (2 2 -2); d 1.872, 2θ = 48.64°, I 19, (3 1 -4)

Atomic structure:
abc: 9.1000 4.9846 10.1036
angles: 90.00 94.84 90.00
Space group C2/c (No. 15)
Unique sites:
1 Zn 0.0000 0.2469 0.2500 [4 per cell]
2 Pd 0.0000 0.2582 0.7500 [4 per cell]
3 Pd 0.1507 0.4908 0.0517 [8 per cell]
4 Pd 0.2409 0.0043 0.6851 [8 per cell]
5 Au 0.0000 0.0000 0.0000 [4 per cell]

---

3.
Starting from a crystal structure in Alexandria, relaxed with GGA-PBE, the powder diffractogram of Si12HN8 was calculated for Cu Kα X-rays.

Largest 10 diffraction maxima, in order of rising 2θ, 2θ from 5° to 70°:
d 6.704, 2θ = 13.21°, I 18, (1 0 0); d 4.741, 2θ = 18.72°, I 64, (1 1 0); d 3.871, 2θ = 22.98°, I 22, (1 1 1); d 3.352, 2θ = 26.59°, I 41, (2 0 0); d 2.998, 2θ = 29.80°, I 77, (2 1 0); d 2.737, 2θ = 32.72°, I 35, (2 1 1); d 2.235, 2θ = 40.36°, I 100, (3 0 0); d 1.792, 2θ = 50.97°, I 17, (3 2 1); d 1.626, 2θ = 56.60°, I 20, (3 2 2); d 1.580, 2θ = 58.40°, I 59, (3 3 0)

Atomic structure:
abc: 6.7041 6.7041 6.7041
angles: 90.00 90.00 90.00
Space group Pm-3m (No. 221)
Unique sites:
1 Si 0.0000 0.3220 0.3220 [12 per cell]
2 H 0.0000 0.0000 0.0000 [1 per cell]
3 N 0.2227 0.2227 0.2227 [8 per cell]

---

4.
Starting from a crystal structure in Alexandria, relaxed with GGA-PBE, the powder diffractogram of BaNa2AgSn was calculated for Cu Kα X-rays.

Largest 10 diffraction maxima, in order of rising 2θ, 2θ from 5° to 70°:
d 3.941, 2θ = 22.56°, I 100, (1 1 0); d 3.871, 2θ = 22.97°, I 30, (1 0 1); d 3.180, 2θ = 28.06°, I 42, (1 1 1); d 2.787, 2θ = 32.12°, I 71, (2 0 0); d 2.690, 2θ = 33.30°, I 32, (0 0 2); d 2.222, 2θ = 40.60°, I 43, (1 1 2); d 1.971, 2θ = 46.06°, I 26, (2 2 0); d 1.936, 2θ = 46.94°, I 49, (2 0 2); d 1.590, 2θ = 58.01°, I 25, (2 2 2); d 1.474, 2θ = 63.05°, I 24, (3 1 2)

Atomic structure:
abc: 5.5740 5.5740 5.3806
angles: 90.00 90.00 90.00
Space group P4/mmm (No. 123)
Unique sites:
1 Ba 0.0000 0.0000 0.0000 [1 per cell]
2 Na 0.0000 0.5000 0.5000 [2 per cell]
3 Ag 0.5000 0.5000 0.5000 [1 per cell]
4 Sn 0.5000 0.5000 0.0000 [1 per cell]

---

5.
Starting from a crystal structure in Alexandria, relaxed with GGA-PBE, the powder diffractogram of Rb2TlCdCl5 was calculated for Cu Kα X-rays.

Largest 10 diffraction maxima, in order of rising 2θ, 2θ from 5° to 70°:
d 7.824, 2θ = 11.31°, I 27, (0 0 2); d 3.912, 2θ = 22.73°, I 10, (0 0 4); d 3.740, 2θ = 23.79°, I 100, (1 1 2); d 2.980, 2θ = 29.99°, I 19, (1 2 1); d 2.882, 2θ = 31.04°, I 11, (1 1 4); d 2.707, 2θ = 33.09°, I 33, (0 2 4); d 2.677, 2θ = 33.47°, I 16, (1 0 5); d 2.585, 2θ = 34.71°, I 20, (2 0 0); d 2.163, 2θ = 41.77°, I 19, (1 3 2); d 1.869, 2θ = 48.71°, I 21, (2 2 4)

Atomic structure:
abc: 5.1694 7.4986 15.6488
angles: 90.00 90.00 90.00
Space group Immm (No. 71)
Unique sites:
1 Rb 0.0000 0.0000 0.2061 [4 per cell]
2 Tl 0.0000 0.5000 0.0000 [2 per cell]
3 Cd 0.0000 0.5000 0.5000 [2 per cell]
4 Cl 0.0000 0.0000 0.0000 [2 per cell]
5 Cl 0.0000 0.2500 0.3781 [8 per cell]

---

6.
Starting from a crystal structure in Alexandria, relaxed with GGA-PBE, the powder diffractogram of BP2Se6 was calculated for Cu Kα X-rays.

Largest 10 diffraction maxima, in order of rising 2θ, 2θ from 5° to 70°:
d 7.186, 2θ = 12.32°, I 87, (2 0 0); d 4.416, 2θ = 20.11°, I 55, (3 1 0); d 3.593, 2θ = 24.78°, I 34, (4 0 0); d 3.144, 2θ = 28.39°, I 100, (1 3 1); d 2.935, 2θ = 30.46°, I 54, (2 0 -2); d 2.914, 2θ = 30.68°, I 23, (1 1 2); d 2.729, 2θ = 32.81°, I 66, (3 3 -1); d 2.647, 2θ = 33.87°, I 43, (3 3 1); d 2.188, 2θ = 41.26°, I 35, (5 3 -1); d 1.899, 2θ = 47.90°, I 23, (0 6 0)

Atomic structure:
abc: 14.4010 11.3938 6.2634
angles: 90.00 93.65 90.00
Space group C2/c (No. 15)
Unique sites:
1 B 0.0000 0.1762 0.2500 [4 per cell]
2 P 0.1703 0.4254 0.3118 [8 per cell]
3 Se 0.0529 0.0801 0.5046 [8 per cell]
4 Se 0.0950 0.4163 0.6218 [8 per cell]
5 Se 0.1150 0.2613 0.1375 [8 per cell]

---

7.
Starting from a crystal structure in Alexandria, relaxed with GGA-PBE, the powder diffractogram of Pm2In3Rh2 was calculated for Cu Kα X-rays.

Largest 10 diffraction maxima, in order of rising 2θ, 2θ from 5° to 70°:
d 3.267, 2θ = 27.30°, I 35, (1 1 1); d 2.871, 2θ = 31.15°, I 66, (1 1 -2); d 2.707, 2θ = 33.09°, I 82, (3 1 -1); d 2.583, 2θ = 34.74°, I 48, (3 1 0); d 2.493, 2θ = 36.02°, I 38, (2 0 -3); d 2.469, 2θ = 36.39°, I 74, (3 1 -2); d 2.449, 2θ = 36.69°, I 100, (1 1 2); d 2.382, 2θ = 37.77°, I 38, (4 0 0); d 2.219, 2θ = 40.67°, I 73, (0 2 0); d 1.395, 2θ = 67.09°, I 37, (7 1 -2)

Atomic structure:
abc: 10.2881 4.4371 7.5332
angles: 90.00 112.16 90.00
Space group C2/m (No. 12)
Unique sites:
1 Pm 0.1463 0.0000 0.2862 [4 per cell]
2 In 0.0000 0.5000 0.5000 [2 per cell]
3 In 0.1320 0.5000 0.9468 [4 per cell]
4 Rh 0.1421 0.0000 0.6969 [4 per cell]

---

8.
Starting from a crystal structure in Alexandria, relaxed with GGA-PBE, the powder diffractogram of BaC was calculated for Cu Kα X-rays.

Largest 10 diffraction maxima, in order of rising 2θ, 2θ from 5° to 70°:
d 3.566, 2θ = 24.97°, I 100, (1 1 1); d 3.535, 2θ = 25.19°, I 39, (2 1 0); d 3.022, 2θ = 29.56°, I 55, (0 2 1); d 2.998, 2θ = 29.80°, I 43, (2 0 1); d 2.822, 2θ = 31.71°, I 49, (1 2 1); d 2.807, 2θ = 31.88°, I 80, (2 1 1); d 2.524, 2θ = 35.57°, I 32, (1 3 0); d 2.496, 2θ = 35.98°, I 28, (3 1 0); d 2.309, 2θ = 39.01°, I 30, (0 0 2); d 1.734, 2θ = 52.79°, I 38, (3 3 1)

Atomic structure:
abc: 7.8832 7.9934 4.6181
angles: 90.00 90.00 90.00
Space group Pbam (No. 55)
Unique sites:
1 Ba 0.0000 0.0000 0.0000 [2 per cell]
2 Ba 0.1583 0.3323 0.5000 [4 per cell]
3 C 0.0000 0.5000 0.0000 [2 per cell]
4 C 0.1198 0.6202 0.0000 [4 per cell]

---

9.
Starting from a crystal structure in Alexandria, relaxed with GGA-PBE, the powder diffractogram of AlSb2OsSe was calculated for Cu Kα X-rays.

Largest 10 diffraction maxima, in order of rising 2θ, 2θ from 5° to 70°:
d 3.479, 2θ = 25.61°, I 64, (1 0 1); d 2.909, 2θ = 30.73°, I 100, (1 1 1); d 2.652, 2θ = 33.80°, I 79, (2 0 0); d 2.304, 2θ = 39.09°, I 26, (0 0 2); d 2.109, 2θ = 42.87°, I 35, (2 1 1); d 1.875, 2θ = 48.55°, I 28, (2 2 0); d 1.739, 2θ = 52.62°, I 46, (2 0 2); d 1.576, 2θ = 58.56°, I 32, (3 1 1); d 1.455, 2θ = 64.01°, I 25, (2 2 2); d 1.422, 2θ = 65.68°, I 11, (1 1 3)

Atomic structure:
abc: 5.3043 5.3043 4.6088
angles: 90.00 90.00 90.00
Space group P4/mmm (No. 123)
Unique sites:
1 Al 0.0000 0.0000 0.0000 [1 per cell]
2 Sb 0.0000 0.5000 0.5000 [2 per cell]
3 Os 0.5000 0.5000 0.0000 [1 per cell]
4 Se 0.0000 0.0000 0.5000 [1 per cell]

---

10.
Starting from a crystal structure in Alexandria, relaxed with GGA-PBE, the powder diffractogram of Ba6SnN2 was calculated for Cu Kα X-rays.

Largest 10 diffraction maxima, in order of rising 2θ, 2θ from 5° to 70°:
d 3.650, 2θ = 24.39°, I 24, (2 2 1); d 3.468, 2θ = 25.69°, I 31, (0 4 0); d 3.432, 2θ = 25.96°, I 62, (1 1 -2); d 3.327, 2θ = 26.80°, I 52, (3 1 1); d 3.244, 2θ = 27.49°, I 100, (4 2 -1); d 3.183, 2θ = 28.03°, I 23, (4 2 0); d 3.085, 2θ = 28.94°, I 44, (0 4 1); d 2.812, 2θ = 31.82°, I 20, (1 3 -2); d 2.614, 2θ = 34.31°, I 24, (4 2 1); d 1.942, 2θ = 46.77°, I 21, (4 6 0)

Atomic structure:
abc: 15.0680 13.8725 7.1062
angles: 90.00 108.10 90.00
Space group C2/c (No. 15)
Unique sites:
1 Ba 0.1139 0.1006 0.0768 [8 per cell]
2 Ba 0.1279 0.4273 0.7461 [8 per cell]
3 Ba 0.2320 0.1390 0.6538 [8 per cell]
4 Sn 0.0000 0.3222 0.2500 [4 per cell]
5 N 0.2332 0.0080 0.3860 [8 per cell]

---

11.
Starting from a crystal structure in Alexandria, relaxed with GGA-PBE, the powder diffractogram of U3Co6Si2 was calculated for Cu Kα X-rays.

Largest 10 diffraction maxima, in order of rising 2θ, 2θ from 5° to 70°:
d 4.235, 2θ = 20.98°, I 25, (2 0 0); d 3.458, 2θ = 25.76°, I 40, (2 1 1); d 2.995, 2θ = 29.83°, I 22, (2 2 0); d 2.679, 2θ = 33.45°, I 40, (3 1 0); d 2.445, 2θ = 36.76°, I 82, (2 2 2); d 2.264, 2θ = 39.82°, I 56, (3 2 1); d 2.118, 2θ = 42.70°, I 35, (4 0 0); d 1.996, 2θ = 45.43°, I 100, (3 3 0); d 1.546, 2θ = 59.80°, I 30, (5 2 1); d 1.374, 2θ = 68.26°, I 23, (6 1 1)

Atomic structure:
abc: 8.4704 8.4704 8.4704
angles: 90.00 90.00 90.00
Space group Im-3m (No. 229)
Unique sites:
1 U 0.0000 0.0000 0.2661 [12 per cell]
2 Co 0.0000 0.3509 0.3509 [24 per cell]
3 Si 0.2500 0.2500 0.2500 [8 per cell]

---

12.
Starting from a crystal structure in Alexandria, relaxed with GGA-PBE, the powder diffractogram of K3Np3RhSe8 was calculated for Cu Kα X-rays.

Largest 10 diffraction maxima, in order of rising 2θ, 2θ from 5° to 70°:
d 7.900, 2θ = 11.20°, I 100, (0 0 1); d 3.498, 2θ = 25.47°, I 21, (4 0 -1); d 3.037, 2θ = 29.41°, I 92, (4 0 0); d 2.446, 2θ = 36.75°, I 29, (2 2 -3); d 2.271, 2θ = 39.69°, I 32, (2 2 2); d 2.042, 2θ = 44.37°, I 32, (0 4 0); d 1.977, 2θ = 45.91°, I 24, (0 0 4); d 1.840, 2θ = 49.54°, I 16, (4 0 -5); d 1.693, 2θ = 54.16°, I 11, (4 4 0); d 1.518, 2θ = 61.03°, I 9, (8 0 0)

Atomic structure:
abc: 14.1630 8.1575 9.2036
angles: 90.00 120.86 90.00
Space group C2/m (No. 12)
Unique sites:
1 K 0.0000 0.0000 0.0000 [2 per cell]
2 K 0.2500 0.2500 0.0000 [4 per cell]
3 Np 0.0000 0.5000 0.5000 [2 per cell]
4 Np 0.2500 0.2500 0.5000 [4 per cell]
5 Rh 0.0000 0.0000 0.5000 [2 per cell]
6 Se 0.0133 0.2309 0.3094 [8 per cell]
7 Se 0.2170 0.0000 0.6897 [4 per cell]
8 Se 0.2370 0.5000 0.7105 [4 per cell]